Tl3SbAu: theoretical powder diffraction line list (Cu Ka), based on a crystal structure in Alexandria, relaxed with PBE.
Intensities are scaled so that the largest is 100.

Atomic structure:
Lattice parameters (Å, degrees): 6.687 9.569 10.084 90.00 116.53 90.00
Fractional coordinates of all 20 atoms:
Tl 0.170 0.194 0.139
Tl 0.170 0.306 0.639
Tl 0.248 0.516 0.338
Tl 0.248 0.984 0.838
Tl 0.287 0.655 0.693
Tl 0.287 0.845 0.193
Tl 0.713 0.155 0.807
Tl 0.713 0.345 0.307
Tl 0.752 0.016 0.162
Tl 0.752 0.484 0.662
Tl 0.830 0.694 0.361
Tl 0.830 0.806 0.861
Sb 0.223 0.532 0.001
Sb 0.223 0.968 0.501
Sb 0.777 0.032 0.499
Sb 0.777 0.468 0.999
Au 0.422 0.225 0.467
Au 0.422 0.275 0.967
Au 0.578 0.725 0.033
Au 0.578 0.775 0.533

Peak list (12 most intense, 10 to 90 degrees two-theta, low angle first)
index, 2theta, I (rel.)
2 0 -2, 27.45, 29
2 0 0, 29.87, 36
0 1 3, 31.16, 100
1 3 -1, 31.24, 96
1 3 0, 31.79, 30
2 1 -3, 32.78, 51
2 2 -2, 33.33, 28
1 2 2, 35.21, 54
1 3 1, 35.36, 34
1 2 -4, 40.55, 40
1 4 -2, 42.29, 25
0 5 3, 57.04, 16